1.
Diffraction record for CeHo12In3. The XRD peak list is simulated, not measured: it uses a structure optimized by DFT (PBE) and Cu Kα X-rays.

Main lines, most intense first (2θ = 15–90°):
| hkl | 2theta | I/Imax |
| --- | --- | --- |
| 1 1 4 | 31.87 | 100 |
| 2 0 0 | 37.20 | 33 |
| 3 1 4 | 63.75 | 27 |
| 2 0 8 | 53.10 | 23 |
| 0 0 8 | 36.49 | 17 |
| 1 1 12 | 62.80 | 13 |
| 2 2 0 | 53.63 | 12 |
| 2 2 8 | 66.61 | 12 |
| 3 1 12 | 87.13 | 11 |
| 3 3 4 | 87.98 | 6 |

Cell and atoms:
a = 4.834 Å, b = 4.834 Å, c = 19.698 Å
α = 90.00°, β = 90.00°, γ = 90.00°
Space group P4/mmm (No. 123)
Asymmetric unit:
Ce 0.000 0.000 0.000 (multiplicity 1)
Ho 0.000 0.500 0.130 (multiplicity 4)
Ho 0.000 0.500 0.377 (multiplicity 4)
Ho 0.500 0.500 0.000 (multiplicity 1)
Ho 0.500 0.500 0.255 (multiplicity 2)
Ho 0.500 0.500 0.500 (multiplicity 1)
In 0.000 0.000 0.256 (multiplicity 2)
In 0.000 0.000 0.500 (multiplicity 1)

=====

2.
Diffraction record for Ce3Ho2In2. The XRD peak list is simulated, not measured: it uses a structure optimized by DFT (PBE) and Cu Kα X-rays.

Main lines, most intense first (2θ = 15–90°):
| hkl | 2theta | I/Imax |
| --- | --- | --- |
| 1 1 2 | 31.72 | 100 |
| 3 1 -1 | 32.53 | 88 |
| 0 2 0 | 37.82 | 32 |
| 2 0 -3 | 37.41 | 31 |
| 4 0 1 | 36.55 | 29 |
| 2 2 -3 | 54.25 | 21 |
| 4 2 1 | 53.61 | 19 |
| 2 2 4 | 66.27 | 14 |
| 1 1 -5 | 63.46 | 13 |
| 1 3 2 | 64.50 | 13 |

Cell and atoms:
a = 10.791 Å, b = 4.757 Å, c = 7.711 Å
α = 90.00°, β = 95.73°, γ = 90.00°
Space group C2/m (No. 12)
Asymmetric unit:
Ce 0.000 0.000 0.000 (multiplicity 2)
Ce 0.117 0.000 0.433 (multiplicity 4)
Ho 0.218 0.500 0.150 (multiplicity 4)
In 0.087 0.500 0.728 (multiplicity 4)

=====

3.
Diffraction record for CeHo2Mg2In2. The XRD peak list is simulated, not measured: it uses a structure optimized by DFT (PBE) and Cu Kα X-rays.

Main lines, most intense first (2θ = 15–90°):
| hkl | 2theta | I/Imax |
| --- | --- | --- |
| 1 1 0 | 35.55 | 100 |
| 0 1 8 | 34.61 | 81 |
| 1 0 7 | 31.79 | 74 |
| 1 0 1 | 20.60 | 64 |
| 1 1 15 | 65.79 | 29 |
| 1 2 8 | 63.24 | 28 |
| 2 0 8 | 50.46 | 28 |
| 0 2 7 | 48.43 | 23 |
| 2 1 7 | 61.50 | 22 |
| 3 0 0 | 63.85 | 18 |

Cell and atoms:
a = 5.0500 Å, b = 5.0500 Å, c = 25.7450 Å
α = 90.00°, β = 90.00°, γ = 120.00°
Space group R-3m (No. 166, hexagonal axes)
Asymmetric unit:
Ce 0.0000 0.0000 0.0000 (multiplicity 3)
Ho 0.0000 0.0000 0.1297 (multiplicity 6)
Mg 0.0000 0.0000 0.4049 (multiplicity 6)
In 0.0000 0.0000 0.2620 (multiplicity 6)

=====

4.
Diffraction record for CeHoInPb. The XRD peak list is simulated, not measured: it uses a structure optimized by DFT (PBE) and Cu Kα X-rays.

Main lines, most intense first (2θ = 15–90°):
| hkl | 2theta | I/Imax |
| --- | --- | --- |
| 1 1 2 | 32.28 | 100 |
| 2 0 0 | 35.82 | 38 |
| 3 1 2 | 62.15 | 31 |
| 2 0 4 | 55.19 | 22 |
| 0 0 4 | 40.54 | 13 |
| 2 2 0 | 51.55 | 13 |
| 2 2 4 | 67.56 | 12 |
| 1 1 6 | 68.57 | 11 |
| 3 3 2 | 84.89 | 7 |
| 4 2 0 | 86.88 | 6 |

Cell and atoms:
a = 5.014 Å, b = 5.014 Å, c = 8.901 Å
α = 90.00°, β = 90.00°, γ = 90.00°
Space group I-4m2 (No. 119)
Asymmetric unit:
Ce 0.000 0.000 0.000 (multiplicity 2)
Ho 0.000 0.000 0.500 (multiplicity 2)
In 0.000 0.500 0.750 (multiplicity 2)
Pb 0.000 0.500 0.250 (multiplicity 2)